1.
Ca2PuGa10: theoretical powder X-ray diffraction pattern (λ = 1.5418 Å (Cu Kα)), based on DFT lattice parameters and positions (PBE).

Cell and atoms:
```
26
Lattice="5.7900 0.0000 0.0000 -0.4357 5.9292 0.0000 -1.5551 -0.3417 15.5644" Properties=species:S:1:pos:R:3 pbc="T T T"
Ca -0.0831 2.2727 5.4955
Ca 0.0920 3.0937 13.3741
Ca 3.7072 2.4938 2.1902
Ca 3.8823 3.3148 10.0688
Pu 0.0000 0.0000 0.0000
Pu 2.1174 -0.1709 7.7822
Ga -0.9069 0.9752 8.3205
Ga -0.3434 0.0050 12.4422
Ga 0.9226 2.8231 0.6252
Ga 0.6276 4.0314 2.8674
Ga 0.3505 5.3080 5.1269
Ga 1.0151 1.0599 2.7166
Ga 0.8585 2.9191 8.5391
Ga 1.0580 1.4595 10.7565
Ga 0.9896 4.5106 10.7654
Ga 1.3637 0.4577 14.5360
Ga 2.4354 5.1298 1.0284
Ga 2.8095 1.0770 4.7990
Ga 2.7412 4.1280 4.8078
Ga 2.9407 2.6684 7.0253
Ga 2.7840 4.5276 12.8478
Ga 3.4486 0.2795 10.4375
Ga 3.1716 1.5561 12.6969
Ga 2.8765 2.7644 14.9392
Ga 4.1426 5.5825 3.1222
Ga 4.7060 4.6123 7.2438
```

Peak list (10 most intense, 10° ≤ 2θ ≤ 80°, most intense first)
Position (°2θ)  intensity
38.23  100.0
34.65  75.6
34.57  56.4
14.95  55.5
15.90  49.8
34.11  47.4
33.63  46.5
11.37  43.4
36.53  43.3
34.35  43.0

=====

2.
CaPuTlGa: theoretical powder X-ray diffraction pattern (λ = 1.5418 Å (Cu Kα)), based on DFT lattice parameters and positions (PBE).

Cell and atoms:
```
4
Lattice="3.5848 0.0000 0.0000 0.0000 3.5848 0.0000 0.0000 0.0000 8.1517" Properties=species:S:1:pos:R:3 pbc="T T T"
Ca 0.0000 0.0000 0.0000
Pu 0.0000 0.0000 4.4645
Tl 1.7924 1.7924 2.2118
Ga 1.7924 1.7924 6.2490
```

Peak list (10 most intense, 10° ≤ 2θ ≤ 80°, most intense first)
Position (°2θ)  intensity
33.28  100.0
10.85  46.7
35.41  44.1
27.18  36.3
62.23  33.4
58.08  18.2
50.95  15.8
37.14  11.2
49.15  10.8
69.89  10.5

=====

3.
Ca2Ga7Rh: theoretical powder X-ray diffraction pattern (λ = 1.5418 Å (Cu Kα)), based on DFT lattice parameters and positions (PBE).

Cell and atoms:
```
10
Lattice="4.2628 0.0000 0.0000 0.0000 4.2628 0.0000 0.0000 0.0000 10.8769" Properties=species:S:1:pos:R:3 pbc="T T T"
Ca 0.0000 2.1314 2.6258
Ca 2.1314 0.0000 8.2510
Ga 0.0000 0.0000 0.0000
Ga 0.0000 0.0000 5.4384
Ga 0.0000 2.1314 6.9633
Ga 0.0000 2.1314 9.4819
Ga 2.1314 0.0000 1.3949
Ga 2.1314 0.0000 3.9135
Ga 2.1314 2.1314 5.4384
Rh 2.1314 2.1314 0.0000
```

Peak list (10 most intense, 10° ≤ 2θ ≤ 80°, most intense first)
Position (°2θ)  intensity
34.01  100.0
42.41  67.2
44.89  64.4
32.42  37.1
16.30  32.5
22.40  27.3
79.33  23.5
46.89  22.6
61.53  21.4
72.20  20.5

=====

4.
Ca2GaRh: theoretical powder X-ray diffraction pattern (λ = 1.5418 Å (Cu Kα)), based on DFT lattice parameters and positions (PBE).

Cell and atoms:
```
8
Lattice="5.8856 0.0000 0.0000 0.0000 4.2134 0.0000 -2.6005 0.0000 8.0019" Properties=species:S:1:pos:R:3 pbc="T T T"
Ca 0.0840 1.0533 3.4043
Ca 1.4214 3.1600 0.5506
Ca 1.8638 1.0533 7.4513
Ca 3.2012 3.1600 4.5976
Ga 0.1544 3.1600 5.7748
Ga 3.1307 1.0533 2.2271
Rh -1.0555 1.0533 6.2300
Rh 4.3406 3.1600 1.7719
```

Peak list (10 most intense, 10° ≤ 2θ ≤ 80°, most intense first)
Position (°2θ)  intensity
16.28  100.0
39.41  78.6
38.62  69.2
38.99  66.5
30.67  60.2
30.82  56.1
22.22  49.7
22.01  49.6
41.77  49.0
42.93  45.5

=====

5.
CaGa6Rh4: theoretical powder X-ray diffraction pattern (λ = 1.5418 Å (Cu Kα)), based on DFT lattice parameters and positions (PBE).

Cell and atoms:
```
11
Lattice="7.4946 0.0000 0.0000 -3.7473 6.4905 0.0000 0.0000 0.0000 3.7823" Properties=species:S:1:pos:R:3 pbc="T T T"
Ca 0.0000 0.0000 0.0000
Ga 0.0000 2.4912 1.8911
Ga -1.5899 5.2449 1.8911
Ga 3.7473 0.4158 0.0000
Ga 2.2337 3.0374 0.0000
Ga 1.5899 5.2449 1.8911
Ga 5.2609 3.0374 0.0000
Rh 0.0000 4.3270 0.0000
Rh 2.2807 1.3168 1.8911
Rh 5.2138 1.3168 1.8911
Rh 3.7473 3.8569 1.8911
```

Peak list (10 most intense, 10° ≤ 2θ ≤ 80°, most intense first)
Position (°2θ)  intensity
44.00  100.0
36.48  95.2
36.63  48.8
13.64  40.9
48.59  40.5
48.47  35.9
48.11  33.8
33.67  32.2
77.79  29.2
70.79  25.2

=====

6.
Ca3Ga2Rh2: theoretical powder X-ray diffraction pattern (λ = 1.5418 Å (Cu Kα)), based on DFT lattice parameters and positions (PBE).

Cell and atoms:
```
28
Lattice="5.7886 0.0000 0.0000 0.0000 7.7918 0.0000 0.0000 0.0000 13.9031" Properties=species:S:1:pos:R:3 pbc="T T T"
Ca 0.7404 1.9194 3.4758
Ca 0.7404 1.9765 10.4274
Ca 2.0715 4.7011 8.2964
Ca 2.0715 4.7011 12.5583
Ca 2.0715 6.9866 1.3449
Ca 2.0715 6.9866 5.6067
Ca 3.7171 0.8052 8.2964
Ca 3.7171 0.8052 12.5583
Ca 3.7171 3.0907 1.3449
Ca 3.7171 3.0907 5.6067
Ca 5.0482 5.8153 3.4758
Ca 5.0482 5.8724 10.4274
Ga 0.5955 1.9479 0.0000
Ga 0.5955 1.9479 6.9516
Ga 2.0043 4.6290 3.4758
Ga 2.0043 7.0586 10.4274
Ga 3.7842 0.7332 3.4758
Ga 3.7842 3.1627 10.4274
Ga 5.1930 5.8438 0.0000
Ga 5.1930 5.8438 6.9516
Rh 0.8239 4.1268 1.2927
Rh 0.8239 4.1268 5.6589
Rh 0.8239 7.5608 8.2443
Rh 0.8239 7.5608 12.6104
Rh 4.9647 0.2309 1.2927
Rh 4.9647 0.2309 5.6589
Rh 4.9647 3.6650 8.2443
Rh 4.9647 3.6650 12.6104
```

Peak list (10 most intense, 10° ≤ 2θ ≤ 80°, most intense first)
Position (°2θ)  intensity
38.45  100.0
37.99  67.7
20.15  56.9
15.31  36.0
34.58  35.9
19.96  26.2
33.81  23.6
38.87  21.7
42.86  19.8
45.55  19.5

=====

7.
Ca2Ga2SbRh5: theoretical powder X-ray diffraction pattern (λ = 1.5418 Å (Cu Kα)), based on DFT lattice parameters and positions (PBE).

Cell and atoms:
```
20
Lattice="9.9454 0.0000 0.0000 0.0000 9.9454 0.0000 0.0000 0.0000 3.5266" Properties=species:S:1:pos:R:3 pbc="T T T"
Ca 1.7290 3.2437 0.0000
Ca 3.2437 8.2164 0.0000
Ca 6.7017 1.7290 0.0000
Ca 8.2164 6.7017 0.0000
Ga 1.2390 6.2117 0.0000
Ga 3.7337 1.2390 0.0000
Ga 6.2117 8.7064 0.0000
Ga 8.7064 3.7337 0.0000
Sb 0.0000 0.0000 0.0000
Sb 4.9727 4.9727 0.0000
Rh 0.0000 4.9727 1.7633
Rh 0.6582 7.9072 1.7633
Rh 2.0382 0.6582 1.7633
Rh 2.9345 5.6309 1.7633
Rh 4.3145 2.9345 1.7633
Rh 4.9727 0.0000 1.7633
Rh 5.6309 7.0109 1.7633
Rh 7.0109 4.3145 1.7633
Rh 7.9072 9.2872 1.7633
Rh 9.2872 2.0382 1.7633
```

Peak list (10 most intense, 10° ≤ 2θ ≤ 80°, most intense first)
Position (°2θ)  intensity
38.35  100.0
41.57  36.4
37.28  28.9
19.96  24.5
36.08  22.6
40.57  18.8
51.85  17.2
17.84  15.1
72.33  14.0
45.56  11.8

=====

8.
SrCaGaRh: theoretical powder X-ray diffraction pattern (λ = 1.5418 Å (Cu Kα)), based on DFT lattice parameters and positions (PBE).

Cell and atoms:
```
4
Lattice="2.1527 1.2429 7.6483 -2.1527 1.2429 7.6483 0.0000 -2.4858 7.6483" Properties=species:S:1:pos:R:3 pbc="T T T"
Sr 0.0000 0.0000 0.0000
Ca 0.0000 0.0000 18.9286
Ga 0.0000 0.0000 5.5022
Rh 0.0000 0.0000 13.1650
```

Peak list (10 most intense, 10° ≤ 2θ ≤ 80°, most intense first)
Position (°2θ)  intensity
11.57  100.0
30.90  47.0
41.97  41.6
28.55  36.3
36.50  24.4
43.68  22.5
65.27  19.3
55.90  18.7
35.20  12.1
25.11  11.1